Structure and theoretical PXRD pattern of Sr4LiY2Ru2O12 (a crystal structure in the Materials Project, relaxed with GGA-PBE; Cu Kα X-rays).
Neutral-atom scattering factors, no anomalous dispersion.

Crystal structure
Lattice parameters (Å, degrees): 5.8319 5.9517 8.3294 90.78 92.51 90.04
Space group P1 (No. 1)
Unique sites:
Sr1 0.0000 0.0000 0.0000 x1
Sr2 0.0299 0.9104 0.5002 x1
Sr3 0.5106 0.4069 0.5097 x1
Sr4 0.5686 0.5227 0.9530 x1
Li1 0.3611 0.3691 0.1835 x1
Y1 0.0351 0.4535 0.7467 x1
Y2 0.5033 0.9340 0.2488 x1
Ru1 0.5260 0.9586 0.7429 x1
Ru2 0.9830 0.4536 0.2513 x1
O1 0.0953 0.4284 0.0199 x1
O2 0.1867 0.1605 0.2848 x1
O3 0.2599 0.1629 0.7024 x1
O4 0.2806 0.6368 0.2946 x1
O5 0.3281 0.6820 0.7027 x1
O6 0.4500 0.9382 0.9740 x1
O7 0.5934 0.9704 0.5110 x1
O8 0.6865 0.2754 0.2033 x1
O9 0.7323 0.2268 0.7815 x1
O10 0.8029 0.7539 0.7805 x1
O11 0.8113 0.7310 0.1984 x1
O12 0.9307 0.4711 0.4802 x1

Largest 10 diffraction maxima, sorted by position, 15 to 90 degrees two-theta:
- 2θ = 29.7°, I 43.0, hkl 1 1 -2
- 2θ = 30.0°, I 100.0, hkl -1 1 2
- 2θ = 30.7°, I 93.9, hkl 2 0 0
- 2θ = 31.0°, I 52.2, hkl 1 1 2
- 2θ = 43.5°, I 79.6, hkl 0 0 4
- 2θ = 53.0°, I 14.5, hkl 2 0 -4
- 2θ = 53.4°, I 15.5, hkl 0 2 -4
- 2θ = 53.5°, I 24.6, hkl -3 1 2
- 2θ = 54.1°, I 19.4, hkl 0 2 4
- 2θ = 55.4°, I 20.1, hkl 3 1 2

***

Structure and theoretical PXRD pattern of Na2TlP3H7N3O8 (a crystal structure in the Materials Project, relaxed with GGA-PBE; Cu Kα X-rays).
Neutral-atom scattering factors, no anomalous dispersion.

Crystal structure
Lattice parameters (Å, degrees): 8.1239 8.1584 8.8087 76.67 81.91 76.51
Space group P-1 (No. 2)
Unique sites:
Na1 0.0735 0.4990 0.1692 x2
Na2 0.1472 0.6526 0.4952 x2
Tl1 0.3743 0.7853 0.0747 x2
P1 0.2136 0.0868 0.3709 x2
P2 0.2489 0.2190 0.6492 x2
P3 0.4450 0.3333 0.3474 x2
H1 0.0281 0.8179 0.8801 x2
H2 0.0662 0.1406 0.9605 x2
H3 0.2502 0.3476 0.8947 x2
H4 0.2552 0.9386 0.6257 x2
H5 0.2696 0.5417 0.8451 x2
H6 0.4642 0.7820 0.4103 x2
H7 0.4888 0.0784 0.2641 x2
N1 0.2144 0.0634 0.5671 x2
N2 0.3862 0.1721 0.2872 x2
N3 0.4224 0.2850 0.5454 x2
O1 0.0440 0.8066 0.9912 x2
O2 0.0575 0.2167 0.3159 x2
O3 0.0986 0.3687 0.6267 x2
O4 0.2118 0.4604 0.9250 x2
O5 0.2471 0.9062 0.3381 x2
O6 0.2969 0.1383 0.8151 x2
O7 0.3201 0.4998 0.2938 x2
O8 0.3661 0.6823 0.7014 x2

Largest 10 diffraction maxima, sorted by position, 15 to 90 degrees two-theta:
- 2θ = 19.6°, I 57.7, hkl 1 1 -1
- 2θ = 19.8°, I 89.6, hkl -1 1 1
- 2θ = 21.6°, I 68.2, hkl 0 1 2
- 2θ = 22.9°, I 66.3, hkl 0 2 0
- 2θ = 23.1°, I 100.0, hkl 2 1 0
- 2θ = 26.4°, I 72.8, hkl -1 1 2
- 2θ = 27.9°, I 59.8, hkl 1 2 -1
- 2θ = 29.5°, I 72.0, hkl 2 -1 1
- 2θ = 31.3°, I 74.5, hkl 2 2 2
- 2θ = 36.8°, I 75.9, hkl 3 0 -1

***

Structure and theoretical PXRD pattern of Sr6MgTe8O22 (a crystal structure in the Materials Project, relaxed with GGA-PBE; Cu Kα X-rays).
Neutral-atom scattering factors, no anomalous dispersion.

Crystal structure
Lattice parameters (Å, degrees): 7.9508 9.2998 9.7777 99.61 109.64 100.12
Space group P1 (No. 1)
Unique sites:
Sr1 0.0000 0.0000 0.0000 x1
Sr2 0.0030 0.5690 0.5708 x1
Sr3 0.1201 0.1986 0.4092 x1
Sr4 0.4794 0.0111 0.8573 x1
Sr5 0.5776 0.1210 0.2868 x1
Sr6 0.5889 0.5897 0.7869 x1
Mg1 0.0988 0.0895 0.6839 x1
Te1 0.2527 0.7197 0.9937 x1
Te2 0.2540 0.8640 0.3981 x1
Te3 0.3517 0.3462 0.9711 x1
Te4 0.3874 0.4817 0.3686 x1
Te5 0.7437 0.7868 0.2026 x1
Te6 0.7484 0.8507 0.5891 x1
Te7 0.8110 0.2538 0.7185 x1
Te8 0.8761 0.3892 0.1342 x1
O1 0.0092 0.8914 0.7280 x1
O2 0.0205 0.2047 0.8515 x1
O3 0.1470 0.3417 0.2189 x1
O4 0.2052 0.9834 0.2564 x1
O5 0.2328 0.9998 0.5592 x1
O6 0.2889 0.6221 0.8159 x1
O7 0.2901 0.5181 0.5201 x1
O8 0.3392 0.2483 0.7784 x1
O9 0.3690 0.1700 0.0434 x1
O10 0.4726 0.3178 0.4286 x1
O11 0.4810 0.8809 0.0643 x1
O12 0.5203 0.9554 0.4636 x1
O13 0.6141 0.4439 0.0315 x1
O14 0.6669 0.8760 0.7520 x1
O15 0.6842 0.6338 0.5535 x1
O16 0.7802 0.1868 0.0192 x1
O17 0.8043 0.7676 0.0301 x1
O18 0.8380 0.9971 0.2810 x1
O19 0.8450 0.3590 0.3115 x1
O20 0.8706 0.4642 0.7662 x1
O21 0.9113 0.2100 0.5669 x1
O22 0.9570 0.7323 0.3382 x1

Largest 10 diffraction maxima, sorted by position, 15 to 90 degrees two-theta:
- 2θ = 19.0°, I 39.4, hkl 1 0 -2
- 2θ = 26.4°, I 88.1, hkl 2 1 -1
- 2θ = 27.1°, I 81.8, hkl 1 0 2
- 2θ = 27.6°, I 84.7, hkl 2 -2 0
- 2θ = 28.1°, I 100.0, hkl 1 1 -3
- 2θ = 29.0°, I 95.1, hkl -1 2 2
- 2θ = 29.4°, I 91.0, hkl 0 3 -1
- 2θ = 30.9°, I 30.0, hkl 2 -2 1
- 2θ = 40.2°, I 30.7, hkl 1 3 1
- 2θ = 40.6°, I 40.6, hkl 1 -3 3